The following is a theoretical powder XRD pattern of LaPd3Pt. It was derived from a structure optimized by DFT (PBE), using copper Kα.

Largest 10 diffraction maxima, sorted by position, 5° ≤ 2θ ≤ 70°:
| h k l | 2θ/deg | I/Imax |
| --- | --- | --- |
| 1 2 1 | 30.1 | 100 |
| 0 3 1 | 35.9 | 33 |
| 2 1 1 | 37.3 | 22 |
| 0 0 4 | 37.8 | 51 |
| 2 0 2 | 39.1 | 63 |
| 1 2 3 | 40.5 | 96 |
| 2 2 2 | 45.8 | 32 |
| 0 4 0 | 46.8 | 18 |
| 3 2 3 | 65.3 | 23 |
| 2 0 6 | 69.2 | 20 |

Structure:
```
data_LaPd3Pt
_chemical_formula_sum 'La4 Pd12 Pt4'
_symmetry_space_group_name_H-M 'I m m a'
_symmetry_Int_Tables_number 74
_symmetry_space_group_name_Hall '-I 2b 2'
_cell_length_a 5.2644
_cell_length_b 7.7723
_cell_length_c 9.5143
_cell_angle_alpha 90.00
_cell_angle_beta 90.00
_cell_angle_gamma 90.00
loop_
_atom_site_label
_atom_site_type_symbol
_atom_site_fract_x
_atom_site_fract_y
_atom_site_fract_z
_atom_site_occupancy
La1 La 0.0000 0.2500 0.0008 1
Pd1 Pd 0.0000 0.2500 0.6929 1
Pd2 Pd 0.2500 0.0605 0.2500 1
Pt1 Pt 0.0000 0.0000 0.5000 1
```